[1]
Tb2Ga3Co14: computed X-ray diffraction stick pattern (Cu Kα (weighted mean of Kα1 and Kα2)), based on DFT lattice parameters and positions (GGA-PBE).
Neutral-atom scattering factors, no anomalous dispersion.

Cell and atoms:
Cell lengths 8.3958, 8.3958, 12.3299 Å; angles 90.00, 90.00, 120.00 degrees
Space group R3m (No. 160, hexagonal axes)
Asymmetric unit:
Tb1 0.0000 0.0000 0.0000 x3
Tb2 0.0000 0.0000 0.3255 x3
Ga1 0.0014 0.5007 0.8199 x9
Co1 0.0000 0.0000 0.5737 x3
Co2 0.0000 0.0000 0.7620 x3
Co3 0.0002 0.2865 0.6671 x18
Co4 0.0101 0.5051 0.5113 x9
Co5 0.1695 0.3391 0.5014 x9

Peak list (10 most intense, 5 to 70 degrees two-theta, by intensity)
d (Å)	two_theta	I_rel	(hkl)
2.088	43.34	100	3 0 3
2.099	43.10	68	2 2 0
2.054	44.09	47	0 0 6
2.937	30.44	45	1 1 3
2.424	37.09	37	3 0 0
2.351	38.28	29	0 2 4
1.468	63.36	28	2 2 6
1.869	48.71	22	2 2 3
1.480	62.78	20	1 4 3
2.041	44.39	18	2 0 5



[2]
Tb6GaCo2: computed X-ray diffraction stick pattern (Cu Kα (weighted mean of Kα1 and Kα2)), based on DFT lattice parameters and positions (GGA-PBE).
Neutral-atom scattering factors, no anomalous dispersion.

Cell and atoms:
Cell lengths 9.301, 9.648, 9.892 Å; angles 90.00, 90.00, 90.00 degrees
Space group Immm (No. 71)
Asymmetric unit:
Tb1 0.000 0.198 0.236 x8
Tb2 0.189 0.500 0.174 x8
Tb3 0.218 0.319 0.500 x8
Ga1 0.000 0.000 0.000 x2
Ga2 0.000 0.000 0.500 x2
Co1 0.000 0.341 0.000 x4
Co2 0.000 0.500 0.386 x4

Peak list (10 most intense, 5 to 70 degrees two-theta, by intensity)
d (Å)	two_theta	I_rel	(hkl)
2.773	32.29	100	2 2 2
2.590	34.63	98	1 3 2
2.555	35.12	46	2 3 1
2.952	30.28	31	3 1 0
2.324	38.74	29	4 0 0
1.531	60.46	28	5 3 2
2.522	35.60	23	3 2 1
3.388	26.30	23	2 0 2
2.201	41.01	22	0 2 4
3.058	29.20	22	0 3 1



[3]
Tb3GaCo3: computed X-ray diffraction stick pattern (Cu Kα (weighted mean of Kα1 and Kα2)), based on DFT lattice parameters and positions (GGA-PBE).
Neutral-atom scattering factors, no anomalous dispersion.

Cell and atoms:
Cell lengths 4.042, 10.071, 13.032 Å; angles 90.00, 90.00, 90.00 degrees
Space group Cmcm (No. 63)
Asymmetric unit:
Tb1 0.000 0.007 0.250 x4
Tb2 0.000 0.292 0.105 x8
Ga1 0.000 0.000 0.000 x4
Co1 0.000 0.292 0.750 x4
Co2 0.000 0.416 0.593 x8

Peak list (10 most intense, 5 to 70 degrees two-theta, by intensity)
d (Å)	two_theta	I_rel	(hkl)
2.583	34.74	100	1 3 0
2.460	36.53	91	1 1 4
2.220	40.64	78	1 3 3
2.839	31.51	76	1 1 3
2.735	32.74	64	0 2 4
2.021	44.84	54	2 0 0
1.481	62.75	36	2 0 6
2.178	41.45	36	0 4 3
1.577	58.53	34	1 5 4
1.626	56.62	29	2 2 4



[4]
TbGa4Co8: computed X-ray diffraction stick pattern (Cu Kα (weighted mean of Kα1 and Kα2)), based on DFT lattice parameters and positions (GGA-PBE).
Neutral-atom scattering factors, no anomalous dispersion.

Cell and atoms:
Cell lengths 8.371, 8.371, 4.941 Å; angles 90.00, 90.00, 90.00 degrees
Space group I4/mmm (No. 139)
Asymmetric unit:
Tb1 0.000 0.000 0.000 x2
Ga1 0.000 0.344 0.000 x8
Co1 0.000 0.225 0.500 x8
Co2 0.250 0.250 0.250 x8

Peak list (10 most intense, 5 to 70 degrees two-theta, by intensity)
d (Å)	two_theta	I_rel	(hkl)
2.101	43.05	100	3 2 1
2.127	42.49	74	2 0 2
2.430	37.00	64	3 0 1
2.093	43.23	63	4 0 0
1.897	47.97	38	2 2 2
2.470	36.37	23	0 0 2
2.984	29.95	22	2 1 1
2.647	33.86	19	3 1 0
1.872	48.65	14	4 2 0
1.973	46.00	13	3 3 0



[5]
Tb8Ga3Co: computed X-ray diffraction stick pattern (Cu Kα (weighted mean of Kα1 and Kα2)), based on DFT lattice parameters and positions (GGA-PBE).
Neutral-atom scattering factors, no anomalous dispersion.

Cell and atoms:
Cell lengths 10.0824, 10.0824, 6.9422 Å; angles 90.00, 90.00, 120.00 degrees
Space group P6_3mc (No. 186)
Asymmetric unit:
Tb1 0.0000 0.0000 0.0977 x2
Tb2 0.0731 0.5366 0.1198 x6
Tb3 0.1723 0.3447 0.8178 x6
Tb4 0.3333 0.6667 0.5000 x2
Ga1 0.1635 0.3271 0.3672 x6
Co1 0.3333 0.6667 0.8830 x2

Peak list (10 most intense, 5 to 70 degrees two-theta, by intensity)
d (Å)	two_theta	I_rel	(hkl)
2.717	32.97	100	2 0 2
2.521	35.62	90	2 2 0
2.981	29.98	46	2 1 1
1.514	61.23	27	3 3 2
2.859	31.29	22	1 1 2
2.684	33.38	19	3 0 1
1.671	54.94	18	4 1 2
1.848	49.32	17	4 0 2
3.696	24.08	17	2 0 1
1.429	65.28	16	2 2 4



[6]
Tb2Ga9Co3: computed X-ray diffraction stick pattern (Cu Kα (weighted mean of Kα1 and Kα2)), based on DFT lattice parameters and positions (GGA-PBE).
Neutral-atom scattering factors, no anomalous dispersion.

Cell and atoms:
Cell lengths 12.760, 7.381, 9.418 Å; angles 90.00, 90.00, 90.00 degrees
Space group Cmcm (No. 63)
Asymmetric unit:
Tb1 0.164 0.167 0.250 x8
Ga1 0.000 0.122 0.750 x4
Ga2 0.000 0.335 0.058 x8
Ga3 0.107 0.442 0.750 x8
Ga4 0.167 0.167 0.573 x16
Co1 0.000 0.000 0.000 x4
Co2 0.172 0.500 0.000 x8

Peak list (10 most intense, 5 to 70 degrees two-theta, by intensity)
d (Å)	two_theta	I_rel	(hkl)
2.390	37.63	100	3 1 3
2.129	42.47	69	3 3 0
2.338	38.50	18	4 2 1
2.148	42.06	18	1 3 2
2.355	38.22	16	0 0 4
1.590	58.02	16	6 2 3
3.433	25.95	12	3 1 1
1.913	47.52	11	4 2 3
1.579	58.45	11	3 3 4
2.642	33.93	10	4 0 2



[7]
TbGa6Co6: computed X-ray diffraction stick pattern (Cu Kα (weighted mean of Kα1 and Kα2)), based on DFT lattice parameters and positions (GGA-PBE).
Neutral-atom scattering factors, no anomalous dispersion.

Cell and atoms:
Cell lengths 5.051, 8.261, 8.618 Å; angles 90.00, 90.00, 90.00 degrees
Space group Immm (No. 71)
Asymmetric unit:
Tb1 0.000 0.000 0.000 x2
Ga1 0.000 0.000 0.345 x4
Ga2 0.000 0.341 0.000 x4
Ga3 0.000 0.500 0.310 x4
Co1 0.000 0.262 0.500 x4
Co2 0.250 0.250 0.250 x8

Peak list (10 most intense, 5 to 70 degrees two-theta, by intensity)
d (Å)	two_theta	I_rel	(hkl)
2.137	42.29	100	1 2 3
2.155	41.93	90	0 0 4
2.497	35.97	67	1 0 3
2.109	42.89	58	1 3 2
2.179	41.44	57	2 0 2
1.927	47.16	55	2 2 2
2.065	43.84	48	0 4 0
2.526	35.54	37	2 0 0
2.418	37.19	32	1 3 0
1.370	68.47	23	3 2 3



[8]
Ti6Ga16Co7: computed X-ray diffraction stick pattern (Cu Kα (weighted mean of Kα1 and Kα2)), based on DFT lattice parameters and positions (GGA-PBE).
Neutral-atom scattering factors, no anomalous dispersion.

Cell and atoms:
Cell lengths 11.815, 11.815, 11.815 Å; angles 90.00, 90.00, 90.00 degrees
Space group Fm-3m (No. 225)
Asymmetric unit:
Ti1 0.000 0.000 0.193 x24
Ga1 0.121 0.121 0.379 x32
Ga2 0.154 0.154 0.154 x32
Co1 0.000 0.000 0.500 x4
Co2 0.000 0.250 0.250 x24

Peak list (10 most intense, 5 to 70 degrees two-theta, by intensity)
d (Å)	two_theta	I_rel	(hkl)
2.089	43.32	100	4 4 0
2.274	39.64	35	3 3 3
1.997	45.41	13	5 3 1
1.969	46.09	10	6 0 0
1.477	62.93	10	8 0 0
1.781	51.29	9	6 2 2
2.954	30.26	9	4 0 0
2.412	37.28	9	4 2 2
1.538	60.16	8	7 3 1
1.392	67.24	6	6 6 0



[9]
Ti2GaCo: computed X-ray diffraction stick pattern (Cu Kα (weighted mean of Kα1 and Kα2)), based on DFT lattice parameters and positions (GGA-PBE).
Neutral-atom scattering factors, no anomalous dispersion.

Cell and atoms:
Cell lengths 6.123, 6.123, 6.123 Å; angles 90.00, 90.00, 90.00 degrees
Space group F-43m (No. 216)
Asymmetric unit:
Ti1 0.000 0.000 0.000 x4
Ti2 0.250 0.250 0.250 x4
Ga1 0.000 0.000 0.500 x4
Co1 0.250 0.250 0.750 x4

Peak list (5 most intense, 5 to 70 degrees two-theta, by intensity)
d (Å)	two_theta	I_rel	(hkl)
2.165	41.73	100	2 2 0
1.531	60.48	15	4 0 0
3.535	25.19	4	1 1 1
1.846	49.37	2	3 1 1
1.405	66.58	1	3 3 1